(1)
For Nd2In3Cu, a structure optimized by DFT (PBE) gives the theoretical powder X-ray diffraction pattern in this record (Cu Kα X-rays).
Lines closer than 0.1° are merged.

Cell and atoms:
```
data_Nd2In3Cu
_cell_length_a 4.8068
_cell_length_b 4.8068
_cell_length_c 7.7298
_cell_angle_alpha 90.00
_cell_angle_beta 90.00
_cell_angle_gamma 120.00
_symmetry_space_group_name_H-M 'P 3 m 1'
_symmetry_Int_Tables_number 156
loop_
_symmetry_equiv_pos_as_xyz
'x,y,z'
'-y,x-y,z'
'-x+y,-x,z'
'-y,-x,z'
'-x+y,y,z'
'x,x-y,z'
loop_
_atom_site_label
_atom_site_type_symbol
_atom_site_fract_x
_atom_site_fract_y
_atom_site_fract_z
_atom_site_occupancy
Nd1 Nd 0.0000 0.0000 0.0000 1
Nd2 Nd 0.0000 0.0000 0.4618 1
In1 In 0.3333 0.6667 0.2199 1
In2 In 0.3333 0.6667 0.7864 1
In3 In 0.6667 0.3333 0.6745 1
Cu1 Cu 0.6667 0.3333 0.2773 1
```

Main lines, sorted by position (5° ≤ 2θ ≤ 70°):
- (1 0 2), 2θ 31.59, I 100
- (1 1 0), 2θ 37.42, I 73
- (0 1 3), 2θ 41.20, I 17
- (0 2 2), 2θ 49.76, I 28
- (1 1 4), 2θ 61.58, I 13
- (2 1 2), 2θ 63.88, I 26

---

(2)
For Gd3Se2NO, a structure optimized by DFT (PBE) gives the theoretical powder X-ray diffraction pattern in this record (Cu Kα X-rays).
Lines closer than 0.1° are merged.

Cell and atoms:
```
data_Gd3Se2NO
_cell_length_a 15.682
_cell_length_b 3.968
_cell_length_c 9.833
_cell_angle_alpha 90.00
_cell_angle_beta 97.32
_cell_angle_gamma 90.00
_symmetry_space_group_name_H-M 'C 1 2/m 1'
_symmetry_Int_Tables_number 12
loop_
_symmetry_equiv_pos_as_xyz
'x,y,z'
'-x,-y,-z'
'-x,y,-z'
'x,-y,z'
'x+1/2,y+1/2,z'
'-x+1/2,-y+1/2,-z'
'-x+1/2,y+1/2,-z'
'x+1/2,-y+1/2,z'
loop_
_atom_site_label
_atom_site_type_symbol
_atom_site_fract_x
_atom_site_fract_y
_atom_site_fract_z
_atom_site_occupancy
Gd1 Gd 0.044 0.000 0.262 1
Gd2 Gd 0.109 0.500 0.946 1
Gd3 Gd 0.197 0.000 0.675 1
Se1 Se 0.129 0.500 0.474 1
Se2 Se 0.212 0.000 0.151 1
N1 N 0.098 0.000 0.812 1
O1 O 0.035 0.500 0.140 1
```

Main lines, sorted by position (5° ≤ 2θ ≤ 70°):
- (4 0 -2), 2θ 27.45, I 50
- (1 1 2), 2θ 30.05, I 100
- (5 1 0), 2θ 36.71, I 32
- (2 0 4), 2θ 40.14, I 16
- (3 1 -4), 2θ 45.23, I 32
- (0 2 0), 2θ 45.73, I 19

---

(3)
For TiMnSi4, a structure optimized by DFT (PBE) gives the theoretical powder X-ray diffraction pattern in this record (Cu Kα X-rays).
Lines closer than 0.1° are merged.

Cell and atoms:
```
data_TiMnSi4
_cell_length_a 4.536
_cell_length_b 12.804
_cell_length_c 4.571
_cell_angle_alpha 90.00
_cell_angle_beta 119.45
_cell_angle_gamma 90.00
_symmetry_space_group_name_H-M 'P 1 2 1'
_symmetry_Int_Tables_number 3
loop_
_symmetry_equiv_pos_as_xyz
'x,y,z'
'-x,y,-z'
loop_
_atom_site_label
_atom_site_type_symbol
_atom_site_fract_x
_atom_site_fract_y
_atom_site_fract_z
_atom_site_occupancy
Ti1 Ti 0.000 0.000 0.000 1
Ti2 Ti 0.000 0.496 0.000 1
Ti3 Ti 0.500 0.663 0.000 1
Mn1 Mn 0.000 0.326 0.500 1
Mn2 Mn 0.000 0.832 0.500 1
Mn3 Mn 0.500 0.169 0.000 1
Si1 Si 0.170 0.167 0.339 1
Si2 Si 0.178 0.667 0.342 1
Si3 Si 0.333 0.832 0.173 1
Si4 Si 0.334 0.494 0.655 1
Si5 Si 0.337 0.999 0.668 1
Si6 Si 0.342 0.328 0.168 1
```

Main lines, sorted by position (5° ≤ 2θ ≤ 70°):
- (1 2 1), 2θ 41.80, I 50
- (1 2 -2), 2θ 41.98, I 49
- (0 6 0), 2θ 42.32, I 100
- (1 4 1), 2θ 48.82, I 27
- (1 4 -2), 2θ 48.97, I 31
- (2 4 -1), 2θ 49.24, I 32

---

(4)
For U2Si3Rh, a structure optimized by DFT (PBE) gives the theoretical powder X-ray diffraction pattern in this record (Cu Kα X-rays).
Lines closer than 0.1° are merged.

Cell and atoms:
```
data_U2Si3Rh
_cell_length_a 3.721
_cell_length_b 4.179
_cell_length_c 7.102
_cell_angle_alpha 90.00
_cell_angle_beta 90.00
_cell_angle_gamma 90.00
_symmetry_space_group_name_H-M 'P m m 2'
_symmetry_Int_Tables_number 25
loop_
_symmetry_equiv_pos_as_xyz
'x,y,z'
'-x,-y,z'
'-x,y,z'
'x,-y,z'
loop_
_atom_site_label
_atom_site_type_symbol
_atom_site_fract_x
_atom_site_fract_y
_atom_site_fract_z
_atom_site_occupancy
U1 U 0.000 0.000 0.000 1
U2 U 0.000 0.500 0.499 1
Si1 Si 0.500 0.000 0.331 1
Si2 Si 0.500 0.000 0.659 1
Si3 Si 0.500 0.500 0.173 1
Rh1 Rh 0.500 0.500 0.834 1
```

Main lines, sorted by position (5° ≤ 2θ ≤ 70°):
- (0 1 1), 2θ 24.72, I 49
- (0 0 2), 2θ 25.08, I 24
- (1 1 1), 2θ 34.66, I 100
- (1 0 2), 2θ 34.93, I 49
- (0 1 3), 2θ 43.96, I 35
- (1 2 2), 2θ 56.79, I 25

---

(5)
For ZrNb2Mo2, a structure optimized by DFT (PBE) gives the theoretical powder X-ray diffraction pattern in this record (Cu Kα X-rays).
Lines closer than 0.1° are merged.

Cell and atoms:
```
data_ZrNb2Mo2
_cell_length_a 3.256
_cell_length_b 4.712
_cell_length_c 23.430
_cell_angle_alpha 90.00
_cell_angle_beta 90.00
_cell_angle_gamma 90.00
_symmetry_space_group_name_H-M 'F m m 2'
_symmetry_Int_Tables_number 42
_symmetry_space_group_name_Hall 'F 2 -2'
loop_
_atom_site_label
_atom_site_type_symbol
_atom_site_fract_x
_atom_site_fract_y
_atom_site_fract_z
_atom_site_occupancy
Zr1 Zr 0.000 0.000 0.000 1
Nb1 Nb 0.000 0.000 0.389 1
Nb2 Nb 0.000 0.000 0.788 1
Mo1 Mo 0.000 0.000 0.192 1
Mo2 Mo 0.000 0.000 0.603 1
```

Main lines, sorted by position (5° ≤ 2θ ≤ 70°):
- (0 2 0), 2θ 38.20, I 27
- (0 0 10), 2θ 38.42, I 23
- (1 1 5), 2θ 38.72, I 100
- (0 2 10), 2θ 55.30, I 15
- (1 3 5), 2θ 69.40, I 17
- (1 1 15), 2θ 69.68, I 12

---

(6)
For KTi4O8, a structure optimized by DFT (PBE) gives the theoretical powder X-ray diffraction pattern in this record (Cu Kα X-rays).
Lines closer than 0.1° are merged.

Cell and atoms:
```
data_KTi4O8
_cell_length_a 10.206
_cell_length_b 10.206
_cell_length_c 3.004
_cell_angle_alpha 90.00
_cell_angle_beta 90.00
_cell_angle_gamma 90.00
_symmetry_space_group_name_H-M 'I 4/m'
_symmetry_Int_Tables_number 87
_symmetry_space_group_name_Hall '-I 4'
loop_
_atom_site_label
_atom_site_type_symbol
_atom_site_fract_x
_atom_site_fract_y
_atom_site_fract_z
_atom_site_occupancy
K1 K 0.000 0.000 0.000 1
Ti1 Ti 0.148 0.669 0.000 1
O1 O 0.042 0.335 0.000 1
O2 O 0.154 0.800 0.500 1
```

Main lines, sorted by position (5° ≤ 2θ ≤ 70°):
- (2 0 0), 2θ 17.38, I 35
- (3 1 0), 2θ 27.64, I 100
- (2 1 1), 2θ 35.79, I 59
- (3 0 1), 2θ 40.04, I 44
- (1 4 1), 2θ 47.60, I 39
- (5 2 1), 2θ 57.50, I 40

---

(7)
For SbRhO4, a structure optimized by DFT (PBE) gives the theoretical powder X-ray diffraction pattern in this record (Cu Kα X-rays).
Lines closer than 0.1° are merged.

Cell and atoms:
```
data_SbRhO4
_cell_length_a 6.546
_cell_length_b 6.658
_cell_length_c 3.217
_cell_angle_alpha 90.00
_cell_angle_beta 90.00
_cell_angle_gamma 90.00
_symmetry_space_group_name_H-M 'C m m m'
_symmetry_Int_Tables_number 65
_symmetry_space_group_name_Hall '-C 2 2'
loop_
_atom_site_label
_atom_site_type_symbol
_atom_site_fract_x
_atom_site_fract_y
_atom_site_fract_z
_atom_site_occupancy
Sb1 Sb 0.000 0.000 0.000 1
Rh1 Rh 0.000 0.500 0.500 1
O1 O 0.000 0.192 0.500 1
O2 O 0.194 0.500 0.000 1
```

Main lines, sorted by position (5° ≤ 2θ ≤ 70°):
- (0 2 0), 2θ 26.78, I 63
- (2 0 0), 2θ 27.25, I 60
- (1 1 1), 2θ 33.84, I 100
- (2 2 0), 2θ 38.58, I 27
- (1 3 1), 2θ 51.97, I 41
- (3 1 1), 2θ 52.51, I 40

---

(8)
For Li3Si2BiO7, a structure optimized by DFT (PBE) gives the theoretical powder X-ray diffraction pattern in this record (Cu Kα X-rays).
Lines closer than 0.1° are merged.

Cell and atoms:
```
data_Li3Si2BiO7
_cell_length_a 9.446
_cell_length_b 13.285
_cell_length_c 5.108
_cell_angle_alpha 90.00
_cell_angle_beta 90.00
_cell_angle_gamma 90.00
_symmetry_space_group_name_H-M 'P n m a'
_symmetry_Int_Tables_number 62
loop_
_symmetry_equiv_pos_as_xyz
'x,y,z'
'-x,-y,-z'
'-x+1/2,-y,z+1/2'
'x+1/2,y,-z+1/2'
'x+1/2,-y+1/2,-z+1/2'
'-x+1/2,y+1/2,z+1/2'
'-x,y+1/2,-z'
'x,-y+1/2,z'
loop_
_atom_site_label
_atom_site_type_symbol
_atom_site_fract_x
_atom_site_fract_y
_atom_site_fract_z
_atom_site_occupancy
Li1 Li 0.016 0.250 0.051 1
Li2 Li 0.168 0.593 0.544 1
Si1 Si 0.190 0.140 0.526 1
Bi1 Bi 0.000 0.000 0.000 1
O1 O 0.115 0.043 0.389 1
O2 O 0.117 0.250 0.425 1
O3 O 0.143 0.642 0.924 1
O4 O 0.168 0.131 0.844 1
```

Main lines, sorted by position (5° ≤ 2θ ≤ 70°):
- (0 2 0), 2θ 13.33, I 96
- (1 0 1), 2θ 19.76, I 69
- (2 2 0), 2θ 23.11, I 66
- (1 2 1), 2θ 23.91, I 100
- (2 4 0), 2θ 32.97, I 49
- (1 4 1), 2θ 33.55, I 41